[1]
This entry pairs a crystal structure of Na4Ga3Ge3O16 with its theoretical powder XRD pattern. Radiation: Cu Kα X-rays. Structure: a cell relaxed with PBE.
Lines closer than 0.1° are merged.

Atomic structure:
a = 9.257 Å, b = 9.257 Å, c = 9.257 Å
α = 90.00°, β = 90.00°, γ = 90.00°
Space group P-43n (No. 218)
Inequivalent atoms, fractional coordinates:
Na  0.171  0.171  0.171 (multiplicity 8)
Ga  0.000  0.250  0.500 (multiplicity 6)
Ge  0.000  0.500  0.250 (multiplicity 6)
O  0.075  0.075  0.925 (multiplicity 8)
O  0.080  0.361  0.646 (multiplicity 24)

Peak list (8 most intense, 15 to 90 degrees two-theta, in order of falling intensity)
h k l	Position (°2θ)	Rel. int.
2 1 1	23.5	1000
2 2 2	33.5	640
3 1 0	30.5	340
3 2 1	36.3	319
4 4 0	56.2	301
6 2 2	67.1	228
4 3 1	50.3	202
5 3 0	58.1	191

---

[2]
This entry pairs a crystal structure of CuH18PdC4N4O11 with its theoretical powder XRD pattern. Radiation: Cu Kα X-rays. Structure: a cell relaxed with PBE.
Lines closer than 0.1° are merged.

Atomic structure:
a = 16.731 Å, b = 7.155 Å, c = 7.383 Å
α = 90.00°, β = 115.59°, γ = 90.00°
Space group C2 (No. 5)
Inequivalent atoms, fractional coordinates:
Cu  0.000  0.000  0.000 (multiplicity 2)
H  0.054  0.613  0.052 (multiplicity 4)
H  0.084  0.822  0.690 (multiplicity 4)
H  0.086  0.219  0.481 (multiplicity 4)
H  0.101  0.247  0.717 (multiplicity 4)
H  0.101  0.796  0.485 (multiplicity 4)
H  0.158  0.375  0.625 (multiplicity 4)
H  0.158  0.668  0.689 (multiplicity 4)
H  0.198  0.511  0.094 (multiplicity 4)
H  0.201  0.531  0.310 (multiplicity 4)
Pd  0.000  0.521  0.500 (multiplicity 2)
C  0.173  0.027  0.277 (multiplicity 4)
C  0.174  0.023  0.068 (multiplicity 4)
N  0.097  0.316  0.592 (multiplicity 4)
N  0.097  0.726  0.602 (multiplicity 4)
O  0.000  0.691  0.000 (multiplicity 2)
O  0.096  0.026  0.277 (multiplicity 4)
O  0.097  0.026  0.915 (multiplicity 4)
O  0.160  0.514  0.167 (multiplicity 4)
O  0.246  0.030  0.429 (multiplicity 4)
O  0.247  0.019  0.062 (multiplicity 4)

Peak list (8 most intense, 15 to 90 degrees two-theta, in order of falling intensity)
h k l	Position (°2θ)	Rel. int.
1 1 -1	17.3	1000
0 2 0	24.9	395
1 1 1	20.8	250
3 1 -1	21.0	236
2 0 -2	24.1	188
0 4 0	51.0	182
4 0 -2	27.0	149
0 0 2	26.8	144

---

[3]
This entry pairs a crystal structure of LaBiO4 with its theoretical powder XRD pattern. Radiation: Cu Kα X-rays. Structure: a cell relaxed with PBE.
Lines closer than 0.1° are merged.

Atomic structure:
a = 7.585 Å, b = 7.360 Å, c = 7.865 Å
α = 90.00°, β = 119.66°, γ = 90.00°
Space group P2_1/c (No. 14)
Inequivalent atoms, fractional coordinates:
La  0.139  0.157  0.275 (multiplicity 4)
Bi  0.328  0.693  0.231 (multiplicity 4)
O  0.060  0.663  0.582 (multiplicity 4)
O  0.174  0.011  0.777 (multiplicity 4)
O  0.310  0.630  0.958 (multiplicity 4)
O  0.369  0.249  0.142 (multiplicity 4)

Peak list (8 most intense, 15 to 90 degrees two-theta, in order of falling intensity)
h k l	Position (°2θ)	Rel. int.
2 1 -2	29.4	1000
0 0 2	26.1	959
0 2 1	27.5	934
2 1 0	29.7	844
2 3 -1	43.9	557
2 1 -4	47.9	525
0 2 0	24.2	516
0 2 3	46.9	350

---

[4]
This entry pairs a crystal structure of SrNdAl3O7 with its theoretical powder XRD pattern. Radiation: Cu Kα X-rays. Structure: a cell relaxed with PBE.
Lines closer than 0.1° are merged.

Atomic structure:
a = 11.175 Å, b = 11.222 Å, c = 5.241 Å
α = 90.00°, β = 90.00°, γ = 90.00°
Space group Cmm2 (No. 35)
Inequivalent atoms, fractional coordinates:
Sr  0.000  0.162  0.000 (multiplicity 4)
Nd  0.162  0.500  0.977 (multiplicity 4)
Al  0.000  0.359  0.450 (multiplicity 4)
Al  0.145  0.000  0.529 (multiplicity 4)
Al  0.250  0.250  0.492 (multiplicity 4)
O  0.000  0.000  0.654 (multiplicity 2)
O  0.000  0.370  0.784 (multiplicity 4)
O  0.000  0.500  0.295 (multiplicity 2)
O  0.126  0.293  0.301 (multiplicity 8)
O  0.153  0.000  0.197 (multiplicity 4)
O  0.216  0.123  0.686 (multiplicity 8)

Peak list (8 most intense, 15 to 90 degrees two-theta, in order of falling intensity)
h k l	Position (°2θ)	Rel. int.
3 1 1	30.5	1000
3 1 2	42.9	239
2 2 1	28.2	222
4 2 2	50.4	193
0 2 1	23.2	189
0 0 1	16.9	172
3 1 0	25.2	170
2 4 0	35.9	161

---

[5]
This entry pairs a crystal structure of Na4Bi2PC4O16 with its theoretical powder XRD pattern. Radiation: Cu Kα X-rays. Structure: a cell relaxed with PBE.
Lines closer than 0.1° are merged.

Atomic structure:
a = 14.296 Å, b = 14.625 Å, c = 15.484 Å
α = 90.00°, β = 90.00°, γ = 90.00°
Space group Fddd (No. 70, origin choice 2)
Inequivalent atoms, fractional coordinates:
Na  0.078  0.375  0.375 (multiplicity 16)
Na  0.125  0.327  0.125 (multiplicity 16)
Bi  0.000  0.000  0.500 (multiplicity 16)
P  0.125  0.125  0.125 (multiplicity 8)
C  0.025  0.028  0.715 (multiplicity 32)
O  0.016  0.089  0.775 (multiplicity 32)
O  0.030  0.279  0.898 (multiplicity 32)
O  0.063  0.061  0.069 (multiplicity 32)
O  0.090  0.285  0.528 (multiplicity 32)

Peak list (8 most intense, 15 to 90 degrees two-theta, in order of falling intensity)
h k l	Position (°2θ)	Rel. int.
2 2 2	20.8	1000
1 1 3	19.3	787
3 1 1	20.4	562
1 3 1	20.1	536
4 4 0	35.1	398
4 0 4	34.1	380
0 4 4	33.7	359
1 1 5	30.2	341

---

[6]
This entry pairs a crystal structure of Ba2TiO4 with its theoretical powder XRD pattern. Radiation: Cu Kα X-rays. Structure: a cell relaxed with PBE.
Lines closer than 0.1° are merged.

Atomic structure:
a = 3.982 Å, b = 3.982 Å, c = 8.788 Å
α = 90.00°, β = 90.00°, γ = 90.00°
Space group P4/mmm (No. 123)
Inequivalent atoms, fractional coordinates:
Ba  0.000  0.000  0.226 (multiplicity 2)
Ti  0.500  0.500  0.000 (multiplicity 1)
O  0.000  0.500  0.000 (multiplicity 2)
O  0.500  0.500  0.227 (multiplicity 2)

Peak list (8 most intense, 15 to 90 degrees two-theta, in order of falling intensity)
h k l	Position (°2θ)	Rel. int.
1 0 2	30.3	1000
1 1 0	31.8	604
1 1 2	38.0	549
1 0 0	22.3	479
0 0 2	20.2	385
2 1 2	55.7	361
2 0 0	45.6	311
1 1 4	52.9	190

---

[7]
This entry pairs a crystal structure of B3H5 with its theoretical powder XRD pattern. Radiation: Cu Kα X-rays. Structure: a cell relaxed with PBE.
Lines closer than 0.1° are merged.

Atomic structure:
a = 7.717 Å, b = 9.507 Å, c = 8.898 Å
α = 90.00°, β = 90.00°, γ = 90.00°
Space group Cmc2_1 (No. 36)
Inequivalent atoms, fractional coordinates:
B  0.000  0.199  0.000 (multiplicity 4)
B  0.000  0.260  0.185 (multiplicity 4)
B  0.107  0.428  0.184 (multiplicity 8)
B  0.183  0.292  0.073 (multiplicity 8)
H  0.000  0.081  0.955 (multiplicity 4)
H  0.000  0.181  0.289 (multiplicity 4)
H  0.124  0.267  0.930 (multiplicity 8)
H  0.174  0.255  0.571 (multiplicity 8)
H  0.176  0.431  0.047 (multiplicity 8)
H  0.209  0.476  0.271 (multiplicity 8)

Peak list (8 most intense, 15 to 90 degrees two-theta, in order of falling intensity)
h k l	Position (°2θ)	Rel. int.
1 1 1	17.8	1000
0 0 2	20.0	257
0 2 1	21.2	172
0 2 0	18.7	134
1 1 2	24.9	127
0 2 2	27.5	97
3 1 0	36.2	38
2 2 1	31.5	26